[1]
Starting from a crystal structure in Alexandria, relaxed with GGA-PBE, the PXRD pattern of Cs3KTe6 was simulated for Cu Ka.
Lines closer than 0.1° are merged.

Peak list (10 most intense, 2θ = 5–70°, low angle first)
d [Å], Rel. int.
7.832, 379
3.997, 242
3.632, 1000
3.311, 448
3.101, 689
2.528, 145
2.497, 551
2.450, 144
2.300, 200
1.835, 231

Structure:
abc: 10.1678 10.1678 10.1678
angles: 100.75 100.75 100.75
Positions (direct):
Cs 0.1810 0.7500 0.3190
Cs 0.2500 0.6810 0.8190
Cs 0.3190 0.1810 0.7500
Cs 0.6810 0.8190 0.2500
Cs 0.7500 0.3190 0.1810
Cs 0.8190 0.2500 0.6810
K 0.0000 0.0000 0.0000
K 0.5000 0.5000 0.5000
Te 0.0123 0.0968 0.4126
Te 0.0874 0.4032 0.4877
Te 0.0968 0.4126 0.0123
Te 0.4032 0.4877 0.0874
Te 0.4126 0.0123 0.0968
Te 0.4877 0.0874 0.4032
Te 0.5123 0.9126 0.5968
Te 0.5874 0.9877 0.9032
Te 0.5968 0.5123 0.9126
Te 0.9032 0.5874 0.9877
Te 0.9126 0.5968 0.5123
Te 0.9877 0.9032 0.5874

***

[2]
Starting from a crystal structure in Alexandria, relaxed with GGA-PBE, the PXRD pattern of CsK2Te6 was simulated for Cu Ka.
Lines closer than 0.1° are merged.

Peak list (10 most intense, 2θ = 5–70°, low angle first)
d [Å], Rel. int.
5.142, 600
5.010, 304
3.588, 1000
3.375, 478
2.863, 343
2.602, 313
2.571, 252
2.533, 304
2.475, 355
2.201, 338

Structure:
abc: 9.3981 9.3981 5.0477
angles: 95.88 95.88 66.34
Positions (direct):
Cs 0.0000 0.0000 0.0000
K 0.3272 0.3272 0.8366
K 0.6142 0.6142 0.0548
Te 0.0289 0.5531 0.2862
Te 0.2738 0.6640 0.4535
Te 0.3880 0.9150 0.5953
Te 0.5531 0.0289 0.2862
Te 0.6640 0.2738 0.4535
Te 0.9150 0.3880 0.5953

***

[3]
Starting from a crystal structure in Alexandria, relaxed with GGA-PBE, the PXRD pattern of Cs2KUTe4 was simulated for Cu Ka.
Lines closer than 0.1° are merged.

Peak list (10 most intense, 2θ = 5–70°, low angle first)
d [Å], Rel. int.
8.765, 159
8.272, 387
7.144, 133
3.572, 439
3.524, 1000
2.647, 156
2.561, 268
2.460, 310
2.360, 209
1.970, 166

Structure:
abc: 8.6476 4.7216 9.1625
angles: 90.00 106.94 90.00
Positions (direct):
Cs 0.0000 0.0000 0.0000
Cs 0.5000 0.5000 0.0000
K 0.0000 0.5000 0.5000
U 0.5000 0.0000 0.5000
Te 0.2837 0.0000 0.6931
Te 0.3058 0.5000 0.3150
Te 0.6942 0.5000 0.6850
Te 0.7163 0.0000 0.3069

***

[4]
Starting from a crystal structure in Alexandria, relaxed with GGA-PBE, the PXRD pattern of Cs4K3Tl was simulated for Cu Ka.
Lines closer than 0.1° are merged.

Peak list (10 most intense, 2θ = 5–70°, low angle first)
d [Å], Rel. int.
12.584, 397
5.760, 300
5.628, 330
4.249, 1000
3.979, 828
3.834, 448
3.779, 429
3.478, 502
2.515, 510
2.420, 642

Structure:
abc: 13.2582 13.2582 13.2582
angles: 95.69 95.69 143.30
Positions (direct):
Cs 0.0902 0.7723 0.8625
Cs 0.2277 0.0902 0.3179
Cs 0.2723 0.5902 0.8625
Cs 0.4098 0.2723 0.6821
Cs 0.5902 0.7277 0.3179
Cs 0.7277 0.4098 0.1375
Cs 0.7723 0.9098 0.6821
Cs 0.9098 0.2277 0.1375
K 0.1212 0.3788 0.5000
K 0.2500 0.2500 0.0000
K 0.3788 0.8788 0.2576
K 0.6212 0.1212 0.7424
K 0.7500 0.7500 0.0000
K 0.8788 0.6212 0.5000
Tl 0.2500 0.7500 0.5000
Tl 0.7500 0.2500 0.5000

***

[5]
Starting from a crystal structure in Alexandria, relaxed with GGA-PBE, the PXRD pattern of Cs12K6Tl was simulated for Cu Ka.
Lines closer than 0.1° are merged.

Peak list (10 most intense, 2θ = 5–70°, low angle first)
d [Å], Rel. int.
12.277, 832
8.743, 568
5.521, 416
4.996, 314
4.092, 1000
4.067, 916
3.899, 572
3.866, 995
2.798, 329
2.472, 327

Structure:
abc: 12.2790 12.2790 12.2790
angles: 89.18 89.18 89.18
Positions (direct):
Cs 0.0281 0.9551 0.3092
Cs 0.0449 0.6908 0.9719
Cs 0.2384 0.3690 0.7307
Cs 0.2693 0.7616 0.6310
Cs 0.3092 0.0281 0.9551
Cs 0.3690 0.7307 0.2384
Cs 0.6310 0.2693 0.7616
Cs 0.6908 0.9719 0.0449
Cs 0.7307 0.2384 0.3690
Cs 0.7616 0.6309 0.2693
Cs 0.9551 0.3092 0.0281
Cs 0.9719 0.0449 0.6908
K 0.1174 0.4267 0.3628
K 0.3628 0.1174 0.4267
K 0.4267 0.3628 0.1174
K 0.5733 0.6372 0.8826
K 0.6372 0.8826 0.5733
K 0.8826 0.5733 0.6372
Tl 0.0000 0.0000 0.0000

***

[6]
Starting from a crystal structure in Alexandria, relaxed with GGA-PBE, the PXRD pattern of CsKTl was simulated for Cu Ka.
Lines closer than 0.1° are merged.

Peak list (10 most intense, 2θ = 5–70°, low angle first)
d [Å], Rel. int.
9.334, 1000
7.414, 669
6.293, 928
3.743, 584
3.703, 392
3.437, 615
3.077, 391
2.961, 565
2.895, 403
2.712, 342

Structure:
abc: 18.8894 5.4236 7.5020
angles: 90.00 98.80 90.00
Positions (direct):
Cs 0.0803 0.0000 0.2847
Cs 0.4197 0.5000 0.7153
Cs 0.5803 0.5000 0.2847
Cs 0.9197 0.0000 0.7153
K 0.1752 0.5000 0.8436
K 0.3248 0.0000 0.1564
K 0.6752 0.0000 0.8436
K 0.8248 0.5000 0.1564
Tl 0.2369 0.5000 0.3916
Tl 0.2631 0.0000 0.6084
Tl 0.7369 0.0000 0.3916
Tl 0.7631 0.5000 0.6084

***

[7]
Starting from a crystal structure in Alexandria, relaxed with GGA-PBE, the PXRD pattern of CsK4Tl was simulated for Cu Ka.
Lines closer than 0.1° are merged.

Peak list (10 most intense, 2θ = 5–70°, low angle first)
d [Å], Rel. int.
10.749, 438
9.081, 1000
5.828, 724
4.013, 350
3.664, 322
3.608, 516
2.936, 344
2.909, 440
2.903, 301
2.731, 364

Structure:
abc: 12.4379 12.4379 7.5590
angles: 107.56 107.56 47.50
Positions (direct):
Cs 0.2109 0.2109 0.2107
Cs 0.7891 0.7891 0.7893
K 0.1285 0.6620 0.3957
K 0.2061 0.7939 0.0000
K 0.3380 0.8715 0.6043
K 0.3517 0.3517 0.8522
K 0.6483 0.6483 0.1478
K 0.6620 0.1285 0.3957
K 0.7939 0.2061 0.0000
K 0.8715 0.3380 0.6043
Tl 0.5001 0.5001 0.2919
Tl 0.4999 0.4999 0.7081

***

[8]
Starting from a crystal structure in Alexandria, relaxed with GGA-PBE, the PXRD pattern of Cs2K6Tl was simulated for Cu Ka.
Lines closer than 0.1° are merged.

Peak list (10 most intense, 2θ = 5–70°, low angle first)
d [Å], Rel. int.
10.744, 310
6.595, 632
5.592, 571
5.019, 435
4.694, 842
3.991, 297
3.581, 290
3.527, 1000
3.515, 323
3.104, 269

Structure:
abc: 11.3889 11.3889 10.9258
angles: 93.38 93.38 108.81
Positions (direct):
Cs 0.0967 0.8221 0.5126
Cs 0.1779 0.9033 0.9874
Cs 0.8221 0.0967 0.0126
Cs 0.9033 0.1779 0.4874
K 0.1175 0.5033 0.1834
K 0.2173 0.2939 0.8321
K 0.2939 0.2173 0.3321
K 0.3262 0.5565 0.5530
K 0.4435 0.6738 0.9470
K 0.4967 0.8825 0.3166
K 0.5033 0.1175 0.6834
K 0.5565 0.3262 0.0530
K 0.6738 0.4435 0.4470
K 0.7061 0.7827 0.6679
K 0.7827 0.7061 0.1679
K 0.8825 0.4967 0.8166
Tl 0.4550 0.5450 0.2500
Tl 0.5450 0.4550 0.7500

***

[9]
Starting from a crystal structure in Alexandria, relaxed with GGA-PBE, the PXRD pattern of CsK3Tl8 was simulated for Cu Ka.
Lines closer than 0.1° are merged.

Peak list (10 most intense, 2θ = 5–70°, low angle first)
d [Å], Rel. int.
5.544, 630
5.486, 206
2.892, 1000
2.873, 331
2.772, 797
2.743, 252
2.394, 376
1.700, 252
1.686, 241
1.445, 220

Structure:
abc: 11.6526 11.6526 11.6526
angles: 33.92 33.92 33.92
Positions (direct):
Cs 0.0000 0.0000 0.0000
K 0.1252 0.1252 0.1252
K 0.4997 0.4997 0.4997
K 0.6233 0.6233 0.6233
Tl 0.0613 0.0613 0.5588
Tl 0.0613 0.5588 0.0613
Tl 0.0643 0.5633 0.5633
Tl 0.3108 0.3108 0.3108
Tl 0.5588 0.0613 0.0613
Tl 0.5633 0.0643 0.5633
Tl 0.5633 0.5633 0.0643
Tl 0.8124 0.8124 0.8124

***

[10]
Starting from a crystal structure in Alexandria, relaxed with GGA-PBE, the PXRD pattern of Cs6K23Tl was simulated for Cu Ka.
Lines closer than 0.1° are merged.

Peak list (10 most intense, 2θ = 5–70°, low angle first)
d [Å], Rel. int.
12.200, 475
10.565, 249
5.283, 173
4.067, 1000
3.735, 705
3.522, 241
2.959, 224
2.490, 275
2.440, 285
2.124, 157

Structure:
abc: 14.9417 14.9417 14.9417
angles: 60.00 60.00 60.00
Positions (direct):
Cs 0.1923 0.1923 0.8077
Cs 0.1923 0.8077 0.1923
Cs 0.1923 0.8077 0.8077
Cs 0.8077 0.1923 0.1923
Cs 0.8077 0.1923 0.8077
Cs 0.8077 0.8077 0.1923
K 0.0000 0.0000 0.5000
K 0.0000 0.5000 0.0000
K 0.0000 0.5000 0.5000
K 0.1448 0.6184 0.6184
K 0.1698 0.1698 0.1698
K 0.1698 0.1698 0.4907
K 0.1698 0.4907 0.1698
K 0.3816 0.3816 0.3816
K 0.3816 0.3816 0.8552
K 0.3816 0.8552 0.3816
K 0.4907 0.1698 0.1698
K 0.5000 0.0000 0.0000
K 0.5000 0.0000 0.5000
K 0.5000 0.5000 0.0000
K 0.5000 0.5000 0.5000
K 0.5093 0.8302 0.8302
K 0.6184 0.1448 0.6184
K 0.6184 0.6184 0.1448
K 0.6184 0.6184 0.6184
K 0.8302 0.5093 0.8302
K 0.8302 0.8302 0.5093
K 0.8302 0.8302 0.8302
K 0.8552 0.3816 0.3816
Tl 0.0000 0.0000 0.0000

***

[11]
Starting from a crystal structure in Alexandria, relaxed with GGA-PBE, the PXRD pattern of CsK12Tl5 was simulated for Cu Ka.
Lines closer than 0.1° are merged.

Peak list (10 most intense, 2θ = 5–70°, low angle first)
d [Å], Rel. int.
8.375, 482
7.022, 635
6.147, 1000
3.596, 559
3.541, 377
3.235, 807
3.157, 630
3.077, 618
2.736, 495
2.527, 454

Structure:
abc: 10.9457 10.9457 10.9457
angles: 116.99 111.67 100.19
Positions (direct):
Cs 0.0000 0.0000 0.0000
K 0.1212 0.8090 0.3122
K 0.2352 0.3216 0.5568
K 0.2352 0.6784 0.9136
K 0.2771 0.0778 0.8007
K 0.2771 0.4764 0.1993
K 0.4968 0.8090 0.6878
K 0.5032 0.1910 0.3122
K 0.7229 0.5236 0.8007
K 0.7229 0.9222 0.1993
K 0.7648 0.3216 0.0864
K 0.7648 0.6784 0.4432
K 0.8788 0.1910 0.6878
Tl 0.1080 0.6080 0.5000
Tl 0.5000 0.1323 0.6323
Tl 0.5000 0.5000 0.0000
Tl 0.5000 0.8677 0.3677
Tl 0.8920 0.3920 0.5000

***

[12]
Starting from a crystal structure in Alexandria, relaxed with GGA-PBE, the PXRD pattern of Cs4K4Tl was simulated for Cu Ka.
Lines closer than 0.1° are merged.

Peak list (10 most intense, 2θ = 5–70°, low angle first)
d [Å], Rel. int.
7.510, 1000
5.286, 464
4.349, 572
3.896, 766
3.730, 614
3.223, 425
2.827, 417
2.716, 550
2.483, 409
2.150, 440

Structure:
abc: 12.8915 12.8915 9.2392
angles: 90.00 90.00 90.00
Positions (direct):
Cs 0.0440 0.2500 0.1050
Cs 0.2500 0.0440 0.6050
Cs 0.2500 0.4560 0.6050
Cs 0.4560 0.2500 0.1050
Cs 0.5440 0.7500 0.8950
Cs 0.7500 0.5440 0.3950
Cs 0.7500 0.9560 0.3950
Cs 0.9560 0.7500 0.8950
K 0.0737 0.7500 0.4275
K 0.2500 0.5737 0.0725
K 0.2500 0.9263 0.0725
K 0.4263 0.7500 0.4275
K 0.5737 0.2500 0.5725
K 0.7500 0.0737 0.9275
K 0.7500 0.4263 0.9275
K 0.9263 0.2500 0.5725
Tl 0.2500 0.7500 0.7500
Tl 0.7500 0.2500 0.2500